(1)
Calculated powder XRD pattern
Compound: Pm4Pr5Ho2
Radiation: Cu Kα (λ = 1.5418 Å)
Structure: a structure optimized by DFT (PBE)
Kinematic intensities with the Lorentz-polarization factor, no thermal factor.

Structure:
Lattice parameters (Å, degrees): 9.0600 3.5671 11.9131 90.00 94.39 90.00
Element x y z (fractional)
Pm: 0.1579 0.0000 0.3897
Pm: 0.2829 0.0000 0.9493
Pm: 0.7171 0.0000 0.0507
Pm: 0.8421 0.0000 0.6103
Pr: 0.1936 0.5000 0.6670
Pr: 0.4281 0.5000 0.2051
Pr: 0.5000 0.5000 0.5000
Pr: 0.5719 0.5000 0.7949
Pr: 0.8064 0.5000 0.3330
Ho: 0.0570 0.5000 0.1347
Ho: 0.9430 0.5000 0.8653

Most intense lines, 2θ from 10° to 90°, by angle:
two_theta  Rel. int.
29.20  215
30.05  681
30.49  405
30.97  636
31.19  1000
31.97  281
33.23  275
33.82  190
34.78  250
60.54  343

---

(2)
Calculated powder XRD pattern
Compound: Ti3Fe2
Radiation: Cu Kα (λ = 1.5418 Å)
Structure: a structure optimized by DFT (PBE)
Kinematic intensities with the Lorentz-polarization factor, no thermal factor.

Structure:
Lattice parameters (Å, degrees): 2.9581 2.9581 15.6451 90.00 90.00 90.00
Element x y z (fractional)
Ti: 0.0000 0.0000 0.0000
Ti: 0.0000 0.0000 0.1891
Ti: 0.0000 0.0000 0.3776
Ti: 0.0000 0.0000 0.6224
Ti: 0.0000 0.0000 0.8109
Ti: 0.5000 0.5000 0.5000
Fe: 0.5000 0.5000 0.0944
Fe: 0.5000 0.5000 0.2833
Fe: 0.5000 0.5000 0.7167
Fe: 0.5000 0.5000 0.9056

Most intense lines, 2θ from 10° to 90°, by angle:
two_theta  Rel. int.
38.14  43
42.03  1000
43.25  550
46.42  134
59.04  46
62.83  163
75.95  91
78.50  267
81.61  46
81.91  61

---

(3)
Calculated powder XRD pattern
Compound: LiCu5Pd6
Radiation: Cu Kα (λ = 1.5418 Å)
Structure: a structure optimized by DFT (PBE)
Kinematic intensities with the Lorentz-polarization factor, no thermal factor.

Structure:
Lattice parameters (Å, degrees): 4.2525 6.0611 6.7209 90.00 108.27 90.00
Element x y z (fractional)
Li: 0.0000 0.0000 0.0000
Cu: 0.0000 0.5000 0.0000
Cu: 0.3301 0.0000 0.6625
Cu: 0.3344 0.5000 0.6708
Cu: 0.6656 0.5000 0.3292
Cu: 0.6699 0.0000 0.3375
Pd: 0.1675 0.2505 0.3330
Pd: 0.1675 0.7495 0.3330
Pd: 0.5000 0.2465 0.0000
Pd: 0.5000 0.7535 0.0000
Pd: 0.8325 0.2505 0.6670
Pd: 0.8325 0.7495 0.6670

Most intense lines, 2θ from 10° to 90°, by angle:
two_theta  Rel. int.
29.47  60
29.70  118
42.34  1000
42.51  494
61.16  81
61.57  79
61.78  78
77.32  157
77.60  156
77.74  155

---

(4)
Calculated powder XRD pattern
Compound: In2TeH4
Radiation: Cu Kα (λ = 1.5418 Å)
Structure: a structure optimized by DFT (PBE)
Kinematic intensities with the Lorentz-polarization factor, no thermal factor.

Structure:
Lattice parameters (Å, degrees): 7.1735 7.1735 6.8565 93.79 93.79 53.49
Element x y z (fractional)
In: 0.0264 0.2359 0.1234
In: 0.2359 0.0264 0.6234
In: 0.7641 0.9736 0.3766
In: 0.9736 0.7641 0.8766
Te: 0.2251 0.7749 0.2500
Te: 0.7749 0.2251 0.7500
H: 0.2082 0.5645 0.7367
H: 0.2327 0.2347 0.5028
H: 0.2347 0.2327 0.0028
H: 0.4355 0.7918 0.7633
H: 0.5645 0.2082 0.2367
H: 0.7653 0.7673 0.9972
H: 0.7673 0.7653 0.4972
H: 0.7918 0.4355 0.2633

Most intense lines, 2θ from 10° to 90°, by angle:
two_theta  Rel. int.
13.86  320
15.38  1000
19.82  432
25.05  243
27.56  870
30.57  725
33.34  328
41.06  286
42.15  262
44.89  428

---

(5)
Calculated powder XRD pattern
Compound: PrY2Sc4
Radiation: Cu Kα (λ = 1.5418 Å)
Structure: a structure optimized by DFT (PBE)
Kinematic intensities with the Lorentz-polarization factor, no thermal factor.

Structure:
Lattice parameters (Å, degrees): 5.9285 7.6401 9.0074 90.18 90.15 105.17
Element x y z (fractional)
Pr: 0.0000 0.0000 0.0000
Pr: 0.4282 0.7725 0.0727
Y: 0.0033 0.4923 0.5087
Y: 0.1481 0.9383 0.3665
Y: 0.5763 0.2224 0.9307
Y: 0.5769 0.7136 0.4377
Sc: 0.1457 0.4298 0.8576
Sc: 0.2888 0.3570 0.2211
Sc: 0.2895 0.8569 0.7173
Sc: 0.4331 0.2834 0.5791
Sc: 0.7153 0.1512 0.2950
Sc: 0.7187 0.6416 0.7864
Sc: 0.8595 0.0723 0.6483
Sc: 0.8618 0.5615 0.1478

Most intense lines, 2θ from 10° to 90°, by angle:
two_theta  Rel. int.
15.56  145
32.04  1000
32.14  484
32.24  476
37.23  646
37.30  317
53.66  324
63.82  250
63.94  182
64.07  235

---

(6)
Calculated powder XRD pattern
Compound: K3Rb3Cd
Radiation: Cu Kα (λ = 1.5418 Å)
Structure: a structure optimized by DFT (PBE)
Kinematic intensities with the Lorentz-polarization factor, no thermal factor.

Structure:
Lattice parameters (Å, degrees): 13.1861 13.1861 6.4322 90.00 90.00 120.00
Element x y z (fractional)
K: 0.1500 0.2999 0.2500
K: 0.1500 0.8500 0.2500
K: 0.2999 0.1500 0.7500
K: 0.7001 0.8500 0.2500
K: 0.8500 0.1500 0.7500
K: 0.8500 0.7001 0.7500
Rb: 0.1180 0.5590 0.7500
Rb: 0.4410 0.5590 0.7500
Rb: 0.4410 0.8820 0.7500
Rb: 0.5590 0.1180 0.2500
Rb: 0.5590 0.4410 0.2500
Rb: 0.8820 0.4410 0.2500
Cd: 0.3333 0.6667 0.2500
Cd: 0.6667 0.3333 0.7500

Most intense lines, 2θ from 10° to 90°, by angle:
two_theta  Rel. int.
13.43  91
20.58  127
24.84  1000
27.05  102
27.22  144
27.74  189
41.07  102
41.98  129
47.34  164
50.28  112

---

(7)
Calculated powder XRD pattern
Compound: LaHg3Pt3
Radiation: Cu Kα (λ = 1.5418 Å)
Structure: a structure optimized by DFT (PBE)
Kinematic intensities with the Lorentz-polarization factor, no thermal factor.

Structure:
Lattice parameters (Å, degrees): 7.4081 7.4081 7.4081 90.00 90.00 90.00
Element x y z (fractional)
La: 0.0000 0.0000 0.0000
La: 0.5000 0.5000 0.5000
Hg: 0.0000 0.2500 0.5000
Hg: 0.0000 0.7500 0.5000
Hg: 0.2500 0.5000 0.0000
Hg: 0.5000 0.0000 0.2500
Hg: 0.5000 0.0000 0.7500
Hg: 0.7500 0.5000 0.0000
Pt: 0.0000 0.5000 0.2500
Pt: 0.0000 0.5000 0.7500
Pt: 0.2500 0.0000 0.5000
Pt: 0.5000 0.2500 0.0000
Pt: 0.5000 0.7500 0.0000
Pt: 0.7500 0.0000 0.5000

Most intense lines, 2θ from 10° to 90°, by angle:
two_theta  Rel. int.
16.93  425
24.03  417
29.54  1000
42.26  497
45.83  609
49.20  384
69.50  178
72.13  249
79.81  185
87.31  202

---

(8)
Calculated powder XRD pattern
Compound: LiInSiSe4
Radiation: Cu Kα (λ = 1.5418 Å)
Structure: a structure optimized by DFT (PBE)
Kinematic intensities with the Lorentz-polarization factor, no thermal factor.

Structure:
Lattice parameters (Å, degrees): 7.0749 7.0749 7.7969 90.00 90.00 114.77
Element x y z (fractional)
Li: 0.0000 0.0000 0.0000
Li: 0.0000 0.0000 0.5000
In: 0.3594 0.6406 0.7500
In: 0.6406 0.3594 0.2500
Si: 0.3582 0.6418 0.2500
Si: 0.6418 0.3582 0.7500
Se: 0.2338 0.7662 0.0262
Se: 0.2338 0.7662 0.4738
Se: 0.2409 0.2816 0.2500
Se: 0.2816 0.2409 0.7500
Se: 0.7184 0.7591 0.2500
Se: 0.7591 0.7184 0.7500
Se: 0.7662 0.2338 0.5262
Se: 0.7662 0.2338 0.9738

Most intense lines, 2θ from 10° to 90°, by angle:
two_theta  Rel. int.
13.79  302
26.75  287
27.34  632
27.78  1000
30.09  236
34.31  241
45.08  758
46.59  189
47.70  199
55.11  215

---

(9)
Calculated powder XRD pattern
Compound: Pa2NbSb2
Radiation: Cu Kα (λ = 1.5418 Å)
Structure: a structure optimized by DFT (PBE)
Kinematic intensities with the Lorentz-polarization factor, no thermal factor.

Structure:
Lattice parameters (Å, degrees): 8.2820 8.2820 6.1145 90.00 90.00 144.30
Element x y z (fractional)
Pa: 0.0076 0.9924 0.5000
Pa: 0.1957 0.8043 0.2984
Pa: 0.8043 0.1957 0.7984
Pa: 0.9924 0.0076 0.0000
Nb: 0.3861 0.6139 0.2192
Nb: 0.6139 0.3861 0.7192
Sb: 0.1813 0.8187 0.7973
Sb: 0.4250 0.5750 0.7347
Sb: 0.5750 0.4250 0.2347
Sb: 0.8187 0.1813 0.2973

Most intense lines, 2θ from 10° to 90°, by angle:
two_theta  Rel. int.
18.36  272
31.38  344
33.45  1000
34.72  356
35.36  524
37.23  265
38.40  641
47.99  218
52.28  199
62.26  169